This entry pairs a crystal structure of Ba2La2CoTe2O12 with its theoretical X-ray powder pattern. Radiation: Cu Kα. Structure: a crystal structure in OQMD, relaxed with PBE+U.
Neutral-atom scattering factors, no anomalous dispersion.

Top 10 peaks for 10° ≤ 2θ ≤ 90°, by angle:
(1 0 7), 29.0°, rel. 100
(1 1 0), 31.3°, rel. 88
(0 2 7), 43.2°, rel. 48
(0 1 14), 50.0°, rel. 16
(3 -1 7), 54.4°, rel. 37
(3 0 0), 55.8°, rel. 20
(2 0 14), 60.2°, rel. 12
(2 2 0), 65.4°, rel. 15
(1 2 14), 69.4°, rel. 16
(1 3 7), 73.1°, rel. 14

```
data_Ba2La2CoTe2O12
_cell_length_a 5.7088
_cell_length_b 5.7088
_cell_length_c 27.4959
_cell_angle_alpha 90.00
_cell_angle_beta 90.00
_cell_angle_gamma 120.00
_space_group_name_H-M_alt 'R -3'
_space_group_IT_number 148
_space_group_name_Hall '-R 3'
loop_
_atom_site_label
_atom_site_fract_x
_atom_site_fract_y
_atom_site_fract_z
Ba1 0.0000 0.0000 0.1356
La1 0.0000 0.0000 0.2893
Co1 0.0000 0.0000 0.0000
Te1 0.0000 0.0000 0.4155
O1 0.0005 0.5374 0.8836
O2 0.0261 0.4502 0.2957
```